For K8Zr6MnBr20, the GGA-PBE geometry in the Materials Project gives the calculated powder diffractogram in this record (Cu Kα (λ = 1.5418 Å)).
Kinematic intensities with the Lorentz-polarization factor, no thermal factor.

Main lines, by angle (2θ from 10° to 90°):
Position (°2θ)  I/Imax
10.54  46
27.60  70
31.52  25
31.98  100
33.76  32
45.85  71
54.36  28
56.99  16

a b c (Å): 11.8747 11.8747 11.8747
angles (deg): 60.00 60.00 60.00
Element x y z (fractional)
K 0.1397 0.1397 0.1397
K 0.1397 0.1397 0.5808
K 0.1397 0.5808 0.1397
K 0.4192 0.8603 0.8603
K 0.5808 0.1397 0.1397
K 0.8603 0.4192 0.8603
K 0.8603 0.8603 0.4192
K 0.8603 0.8603 0.8603
Zr 0.3552 0.3552 0.6448
Zr 0.3552 0.6448 0.3552
Zr 0.3552 0.6448 0.6448
Zr 0.6448 0.3552 0.3552
Zr 0.6448 0.3552 0.6448
Zr 0.6448 0.6448 0.3552
Mn 0.5000 0.5000 0.5000
Br 0.1712 0.5000 0.5000
Br 0.1712 0.5000 0.8288
Br 0.1712 0.8288 0.5000
Br 0.1825 0.1825 0.8175
Br 0.1825 0.8175 0.1825
Br 0.1825 0.8175 0.8175
Br 0.2500 0.2500 0.2500
Br 0.5000 0.1712 0.5000
Br 0.5000 0.1712 0.8288
Br 0.5000 0.5000 0.1712
Br 0.5000 0.5000 0.8288
Br 0.5000 0.8288 0.1712
Br 0.5000 0.8288 0.5000
Br 0.7500 0.7500 0.7500
Br 0.8175 0.1825 0.1825
Br 0.8175 0.1825 0.8175
Br 0.8175 0.8175 0.1825
Br 0.8288 0.1712 0.5000
Br 0.8288 0.5000 0.1712
Br 0.8288 0.5000 0.5000


For BiOF, the GGA-PBE geometry in the Materials Project gives the calculated powder diffractogram in this record (Cu Kα (λ = 1.5418 Å)).
Kinematic intensities with the Lorentz-polarization factor, no thermal factor.

Main lines, by angle (2θ from 10° to 90°):
Position (°2θ)  I/Imax
27.52  100
28.72  19
33.37  40
37.39  20
44.59  33
47.91  19
50.16  16
56.12  39

a b c (Å): 3.7975 3.7975 6.2171
angles (deg): 90.00 90.00 90.00
Element x y z (fractional)
Bi 0.2500 0.2500 0.2093
Bi 0.7500 0.7500 0.7907
O 0.2500 0.7500 0.0000
O 0.7500 0.2500 0.0000
F 0.2500 0.2500 0.6436
F 0.7500 0.7500 0.3564